Computed powder diffractogram of AlInAs for a wavelength of 1.5418 Å, from the PBE geometry in Alexandria.
Lines closer than 0.1° are merged.

Principal peaks in the range 2θ = 10–80°, low angle first:
(0 0 9), 23.45°, I = 26
(1 0 1), 25.65°, I = 69
(0 1 2), 26.05°, I = 70
(1 0 4), 27.61°, I = 71
(0 1 5), 28.72°, I = 81
(0 0 12), 31.45°, I = 25
(0 1 8), 33.15°, I = 53
(1 0 13), 43.10°, I = 100
(1 1 0), 44.98°, I = 91
(0 2 13), 64.05°, I = 30

Cell and atoms:
Cell: 4.0307 4.0307 34.1471 Å, 90.00 90.00 120.00°
Space group R3m (No. 160, hexagonal axes)
Unique sites:
Al 0.0000 0.0000 0.0000 (multiplicity 3)
Al 0.0000 0.0000 0.2357 (multiplicity 3)
In 0.0000 0.0000 0.1560 (multiplicity 3)
In 0.0000 0.0000 0.7689 (multiplicity 3)
As 0.0000 0.0000 0.6911 (multiplicity 3)
As 0.0000 0.0000 0.9274 (multiplicity 3)